1.
Starting from a cell relaxed with GGA+U, the powder diffractogram of Li7Mn2Co3O12 was computed for Cu Kα X-rays.
Peak positions follow from Bragg's law for the DFT cell and can differ from measured ones.

Main lines, sorted by position (2θ from 10° to 90°):
d_spacing  two_theta  Rel. int.  index
4.819  18.41  100.0  0 1 0
2.482  36.19  12.5  1 0 -3
2.071  43.72  27.7  -1 1 3
2.063  43.89  27.0  1 -2 3
2.051  44.17  27.3  2 1 0
1.465  63.51  14.3  1 3 -3

Cell and atoms:
abc: 5.0044 5.1035 8.7195
angles: 106.39 90.19 99.73
Space group P1 (No. 1)
Symmetry-distinct sites (fractional):
Li 0.0000 0.0000 0.0000
Li 0.0021 0.0077 0.3484
Li 0.0120 0.9899 0.6647
Li 0.2533 0.4940 0.5840
Li 0.4976 0.0001 0.5078
Li 0.5004 0.0033 0.1740
Li 0.5070 0.9859 0.8246
Mn 0.2507 0.5009 0.2636
Mn 0.7507 0.4927 0.7451
Co 0.2508 0.4988 0.9086
Co 0.7513 0.4981 0.4227
Co 0.7539 0.5011 0.0854
O 0.1152 0.7237 0.4490
O 0.1148 0.7262 0.8013
O 0.1170 0.7217 0.1327
O 0.3797 0.2842 0.0566
O 0.3879 0.2749 0.3723
O 0.3971 0.2609 0.7202
O 0.6123 0.7215 0.2984
O 0.6323 0.7284 0.9486
O 0.6474 0.7182 0.6241
O 0.8589 0.2730 0.5493
O 0.8735 0.2664 0.8742
O 0.8875 0.2762 0.2240

---

2.
Starting from a cell relaxed with GGA+U, the powder diffractogram of Li7Mn2Co3O12 was computed for Cu Kα X-rays.
Peak positions follow from Bragg's law for the DFT cell and can differ from measured ones.

Main lines, sorted by position (2θ from 10° to 90°):
d_spacing  two_theta  Rel. int.  index
4.841  18.33  100.0  0 0 2
2.492  36.04  27.4  1 3 -1
2.079  43.54  58.6  1 3 -3
2.057  44.03  28.2  2 0 2
1.472  63.18  15.5  1 3 5
1.452  64.11  15.5  3 3 -1

Cell and atoms:
abc: 5.0197 8.7782 9.8385
angles: 90.00 100.26 90.00
Space group C2/m (No. 12)
Symmetry-distinct sites (fractional):
Li 0.0000 0.0000 0.0000
Li 0.2422 0.0000 0.7533
Li 0.2463 0.1630 0.2469
Mn 0.0000 0.3336 0.0000
Co 0.0000 0.1655 0.5000
Co 0.0000 0.5000 0.5000
O 0.1035 0.5000 0.8890
O 0.1260 0.0000 0.3796
O 0.1383 0.3366 0.3849
O 0.1400 0.1798 0.8886

---

3.
Starting from a cell relaxed with GGA+U, the powder diffractogram of Li7Mn2Co3O12 was computed for Cu Kα X-rays.
Peak positions follow from Bragg's law for the DFT cell and can differ from measured ones.

Main lines, sorted by position (2θ from 10° to 90°):
d_spacing  two_theta  Rel. int.  index
4.831  18.36  100.0  2 0 0
2.488  36.11  26.8  1 3 -1
2.070  43.73  85.0  3 3 -1
1.600  57.60  14.1  4 0 2
1.473  63.14  15.0  5 3 1
1.454  64.05  14.9  1 3 -3

Cell and atoms:
abc: 9.8045 8.7608 5.0289
angles: 90.00 99.76 90.00
Space group C2 (No. 5)
Symmetry-distinct sites (fractional):
Li 0.0000 0.0000 0.0000
Li 0.2434 0.1621 0.2462
Li 0.2438 0.9980 0.7538
Li 0.2492 0.8349 0.2568
Mn 0.0000 0.6679 0.0000
Mn 0.0000 0.8377 0.5000
Co 0.0000 0.1627 0.5000
Co 0.0000 0.3232 0.0000
Co 0.0000 0.4892 0.5000
O 0.1080 0.6700 0.3619
O 0.1114 0.8198 0.8598
O 0.1121 0.1759 0.8462
O 0.1137 0.5067 0.8781
O 0.1161 0.9885 0.3890
O 0.1185 0.3357 0.3713

---

4.
Starting from a cell relaxed with GGA+U, the powder diffractogram of Li5MnCo2O8 was computed for Cu Kα X-rays.
Peak positions follow from Bragg's law for the DFT cell and can differ from measured ones.

Main lines, sorted by position (2θ from 10° to 90°):
d_spacing  two_theta  Rel. int.  index
4.836  18.35  100.0  2 0 0
2.473  36.33  24.6  1 1 -2
2.109  42.89  28.1  2 0 4
2.058  43.99  66.6  3 1 -2
1.476  62.98  14.7  5 1 2
1.470  63.26  21.7  6 0 -4

Cell and atoms:
abc: 9.7965 2.8828 10.2550
angles: 90.00 99.16 90.00
Space group C2/m (No. 12)
Symmetry-distinct sites (fractional):
Li 0.0000 0.0000 0.0000
Li 0.2384 0.5000 0.1121
Li 0.2477 0.0000 0.3684
Mn 0.0000 0.0000 0.5000
Co 0.0104 0.5000 0.7706
O 0.1059 0.0000 0.6771
O 0.1127 0.5000 0.4477
O 0.1140 0.0000 0.1968
O 0.1236 0.5000 0.9247

---

5.
Starting from a cell relaxed with GGA+U, the powder diffractogram of Li7Mn2Co3O12 was computed for Cu Kα X-rays.
Peak positions follow from Bragg's law for the DFT cell and can differ from measured ones.

Main lines, sorted by position (2θ from 10° to 90°):
d_spacing  two_theta  Rel. int.  index
4.805  18.47  100.0  0 1 1
2.519  35.63  15.8  2 1 0
2.460  36.52  24.3  0 1 -2
2.107  42.93  29.6  2 2 1
2.043  44.34  54.1  2 -2 0
1.580  58.41  9.4  -2 3 1

Cell and atoms:
abc: 5.8571 5.8819 6.4990
angles: 75.72 76.64 88.25
Space group P1 (No. 1)
Symmetry-distinct sites (fractional):
Li 0.0000 0.0000 0.0000
Li 0.0012 0.5033 0.0046
Li 0.1593 0.6684 0.3295
Li 0.3245 0.3368 0.6798
Li 0.5003 0.0021 0.0068
Li 0.6728 0.6673 0.3352
Li 0.8388 0.3371 0.6747
Mn 0.5042 0.5045 0.0041
Mn 0.6732 0.1722 0.3349
Co 0.1689 0.1746 0.3381
Co 0.3176 0.8235 0.6799
Co 0.8322 0.8359 0.6671
O 0.0838 0.6181 0.6588
O 0.0911 0.0898 0.6539
O 0.2641 0.2696 0.0271
O 0.2694 0.7442 0.0007
O 0.4235 0.9555 0.3441
O 0.4465 0.4215 0.3227
O 0.5698 0.5753 0.6925
O 0.5886 0.0647 0.6513
O 0.7377 0.2587 0.0228
O 0.7416 0.7411 0.9803
O 0.8961 0.9250 0.3474
O 0.9104 0.3838 0.3412

---

6.
Starting from a cell relaxed with GGA+U, the powder diffractogram of Li7Mn4CoO12 was computed for Cu Kα X-rays.
Peak positions follow from Bragg's law for the DFT cell and can differ from measured ones.

Main lines, sorted by position (2θ from 10° to 90°):
d_spacing  two_theta  Rel. int.  index
4.835  18.35  100.0  0 0 2
2.530  35.48  14.1  1 -1 0
2.505  35.85  13.4  0 3 2
2.117  42.72  30.9  1 -1 2
2.066  43.81  57.0  1 2 -2
1.461  63.69  14.8  -1 1 6

Cell and atoms:
abc: 2.9293 7.7747 10.1892
angles: 71.82 89.30 80.09
Space group P1 (No. 1)
Symmetry-distinct sites (fractional):
Li 0.0000 0.0000 0.0000
Li 0.0130 0.9883 0.4994
Li 0.3400 0.3427 0.5129
Li 0.3723 0.3116 0.9967
Li 0.6379 0.6704 0.9997
Li 0.6782 0.6593 0.5065
Li 0.8396 0.3284 0.7538
Mn 0.1608 0.6702 0.2543
Mn 0.1692 0.6541 0.7492
Mn 0.5022 0.0034 0.7558
Mn 0.8594 0.3272 0.2555
Co 0.5049 0.9959 0.2504
O 0.0735 0.8393 0.8587
O 0.0781 0.8302 0.3714
O 0.2441 0.5111 0.6369
O 0.2880 0.4795 0.1481
O 0.4212 0.1861 0.3671
O 0.4340 0.1444 0.8702
O 0.5438 0.8162 0.1302
O 0.5947 0.8179 0.6458
O 0.7246 0.5225 0.8636
O 0.7968 0.4920 0.3694
O 0.9260 0.1770 0.1366
O 0.9454 0.1355 0.6423